This entry pairs a crystal structure of PrEuMnNbO6 with its calculated XRD peak list. Radiation: Cu Ka. Structure: a structure optimized by DFT (GGA+U).
Intensities are scaled so that the largest is 100.

Largest 10 diffraction maxima, sorted by position, 2θ = 10–90°:
2θ = 22.46°, I = 7, (2 0 0)
2θ = 31.97°, I = 100, (2 2 0)
2θ = 39.42°, I = 13, (2 2 2)
2θ = 45.84°, I = 31, (4 0 0)
2θ = 51.62°, I = 4, (4 2 0)
2θ = 56.98°, I = 39, (4 2 2)
2θ = 66.84°, I = 18, (4 4 0)
2θ = 76.02°, I = 17, (6 2 0)
2θ = 80.45°, I = 4, (6 2 2)
2θ = 84.84°, I = 6, (4 4 4)

Crystal structure
```
data_PrEuMnNbO6
_chemical_formula_sum 'Pr4 Eu4 Mn4 Nb4 O24'
_space_group_name_H-M_alt 'F -4 3 m'
_space_group_IT_number 216
_space_group_name_Hall 'F -4 2 3'
_cell_length_a 7.918
_cell_length_b 7.918
_cell_length_c 7.918
_cell_angle_alpha 90.00
_cell_angle_beta 90.00
_cell_angle_gamma 90.00
loop_
_atom_site_label
_atom_site_fract_x
_atom_site_fract_y
_atom_site_fract_z
Pr1 0.000 0.000 0.000
Eu1 0.000 0.000 0.500
Mn1 0.250 0.250 0.750
Nb1 0.250 0.250 0.250
O1 0.005 0.250 0.750
```